Theoretical powder diffraction line list
Compound: Co2BiO4
Radiation: λ = 1.5418 Å (Cu Kα)
Structure: a structure optimized by DFT (GGA+U)
Peak positions follow from Bragg's law for the DFT cell and can differ from measured ones.

The 10 most intense peaks (2θ from 10° to 80°), in order of falling intensity:
two_theta  d/Å  I_rel
33.66  2.663  100.0
28.45  3.138  79.8
33.36  2.686  51.5
28.62  3.119  39.3
58.86  1.569  33.6
50.59  1.804  32.5
53.99  1.698  31.7
17.34  5.113  28.6
50.26  1.815  16.6
59.26  1.559  16.4

Cell and atoms:
Lattice parameters (Å, degrees): 6.2758 6.2758 6.2758 120.40 120.40 89.30
Positions (direct):
Co 0.0000 0.0000 0.0000
Co 0.0000 0.0000 0.5000
Co 0.0000 0.5000 0.0000
Co 0.5000 0.0000 0.5000
Bi 0.3750 0.6250 0.7500
Bi 0.6250 0.3750 0.2500
O 0.2044 0.2352 0.9692
O 0.2340 0.7648 0.4692
O 0.2352 0.2044 0.4692
O 0.2352 0.7660 0.0308
O 0.7648 0.2340 0.9692
O 0.7648 0.7956 0.5308
O 0.7660 0.2352 0.5308
O 0.7956 0.7648 0.0308